Structure and simulated powder diffraction line list of Ba3GeAu (a crystal structure in Alexandria, relaxed with GGA-PBE; Cu Kα, 1.54184 Å).

abc: 6.369 6.369 6.369
angles: 90.00 90.00 90.00
Positions (direct):
Ba 0.000 0.000 0.500
Ba 0.000 0.500 0.000
Ba 0.500 0.000 0.000
Ge 0.000 0.000 0.000
Au 0.500 0.500 0.500

Principal peaks in the range 5 to 70 degrees two-theta, by angle:
(1 1 0), 19.7°, d 4.504, I = 17.8; (1 1 1), 24.2°, d 3.677, I = 100.0; (2 0 0), 28.0°, d 3.185, I = 87.3; (2 1 1), 34.5°, d 2.600, I = 9.2; (2 2 0), 40.0°, d 2.252, I = 67.1; (3 1 0), 45.0°, d 2.014, I = 4.5; (3 1 1), 47.3°, d 1.920, I = 49.7; (2 2 2), 49.6°, d 1.839, I = 24.1; (3 2 1), 53.9°, d 1.702, I = 5.3; (4 0 0), 57.9°, d 1.592, I = 11.3; (3 3 1), 63.7°, d 1.461, I = 20.7; (4 2 0), 65.5°, d 1.424, I = 31.4